Computed powder diffractogram
Compound: CsCrF4
Radiation: Cu Kα, 1.54184 Å
Structure: a structure optimized by DFT (GGA+U)
Intensities are scaled so that the largest is 1000.

Structure:
Unit cell a=9.8078 b=9.8078 c=3.9635 alpha=90.00 beta=90.00 gamma=120.00
Space group P-62m (No. 189)
Unique sites:
Cs  0.0000  0.5705  0.0000 [3 per cell]
Cr  0.0000  0.2247  0.5000 [3 per cell]
F  0.0000  0.2201  0.0000 [3 per cell]
F  0.0000  0.8315  0.5000 [3 per cell]
F  0.1607  0.4388  0.5000 [6 per cell]

The 12 most intense peaks (15 to 90 degrees two-theta), in order of rising 2θ:
hkl 1 1 0, 18.09°, rel. 660
hkl 2 0 0, 20.92°, rel. 417
hkl 1 0 1, 24.79°, rel. 390
hkl 2 1 0, 27.79°, rel. 965
hkl 1 1 1, 28.97°, rel. 981
hkl 2 0 1, 30.86°, rel. 1000
hkl 2 1 1, 36.00°, rel. 289
hkl 3 1 0, 38.20°, rel. 665
hkl 3 1 1, 44.75°, rel. 479
hkl 2 1 2, 54.41°, rel. 277
hkl 3 1 2, 61.11°, rel. 318
hkl 3 3 2, 75.37°, rel. 273